1.
Simulated X-ray powder pattern
Compound: Ce5O9
Radiation: copper Kα
Structure: the GGA-PBE geometry in the Materials Project
Peak positions follow from Bragg's law for the DFT cell and can differ from measured ones.

Largest 10 diffraction maxima, by intensity, 5 to 70 degrees two-theta:
- 27.97 deg, intensity 100.0
- 46.37 deg, intensity 33.5
- 55.34 deg, intensity 27.7
- 32.57 deg, intensity 20.8
- 46.72 deg, intensity 16.8
- 54.72 deg, intensity 14.1
- 32.09 deg, intensity 9.9
- 57.81 deg, intensity 8.8
- 68.22 deg, intensity 4.6
- 67.12 deg, intensity 2.7

Atomic structure:
Lattice parameters (Å, degrees): 6.751 6.751 6.751 99.83 99.83 131.20
Element x y z (fractional)
Ce 0.000 0.000 0.000
Ce 0.187 0.586 0.823
Ce 0.414 0.237 0.601
Ce 0.636 0.813 0.399
Ce 0.763 0.364 0.177
O 0.066 0.166 0.722
O 0.155 0.483 0.138
O 0.345 0.017 0.862
O 0.444 0.344 0.278
O 0.517 0.655 0.672
O 0.656 0.934 0.100
O 0.750 0.250 0.500
O 0.834 0.556 0.900
O 0.983 0.845 0.328

2.
Simulated X-ray powder pattern
Compound: NbO2
Radiation: copper Kα
Structure: the GGA-PBE geometry in the Materials Project
Peak positions follow from Bragg's law for the DFT cell and can differ from measured ones.

Largest 10 diffraction maxima, by intensity, 5 to 70 degrees two-theta:
- 25.65 deg, intensity 100.0
- 34.66 deg, intensity 63.4
- 51.28 deg, intensity 52.0
- 52.70 deg, intensity 19.9
- 36.59 deg, intensity 16.7
- 64.63 deg, intensity 14.9
- 59.51 deg, intensity 13.4
- 67.13 deg, intensity 7.2
- 39.35 deg, intensity 6.8
- 60.85 deg, intensity 4.5

Atomic structure:
Lattice parameters (Å, degrees): 10.286 10.286 10.286 95.03 95.03 145.56
Element x y z (fractional)
Nb 0.088 0.098 0.737
Nb 0.139 0.650 0.237
Nb 0.150 0.412 0.511
Nb 0.155 0.896 0.991
Nb 0.335 0.345 0.241
Nb 0.396 0.905 0.741
Nb 0.402 0.639 0.989
Nb 0.405 0.165 0.509
Nb 0.595 0.835 0.491
Nb 0.598 0.361 0.011
Nb 0.604 0.095 0.259
Nb 0.665 0.655 0.759
Nb 0.845 0.104 0.009
Nb 0.850 0.588 0.489
Nb 0.861 0.350 0.763
Nb 0.912 0.902 0.263
O 0.022 0.872 0.403
O 0.031 0.380 0.903
O 0.113 0.000 0.139
O 0.117 0.229 0.361
O 0.120 0.522 0.651
O 0.124 0.725 0.851
O 0.225 0.874 0.601
O 0.228 0.376 0.101
O 0.256 0.617 0.388
O 0.271 0.132 0.888
O 0.361 0.974 0.361
O 0.368 0.756 0.139
O 0.372 0.469 0.849
O 0.374 0.272 0.649
O 0.474 0.613 0.613
O 0.500 0.139 0.113
O 0.500 0.861 0.887
O 0.526 0.387 0.387
O 0.626 0.728 0.351
O 0.628 0.531 0.151
O 0.632 0.244 0.861
O 0.639 0.026 0.639
O 0.729 0.868 0.112
O 0.744 0.383 0.612
O 0.772 0.624 0.899
O 0.775 0.126 0.399
O 0.876 0.275 0.149
O 0.880 0.478 0.349
O 0.883 0.771 0.639
O 0.887 0.000 0.861
O 0.969 0.620 0.097
O 0.978 0.128 0.597